Entry 1:
Starting from a GGA-PBE-relaxed structure, the X-ray diffraction stick pattern of As5Au4 was computed for Cu Kα, 1.54184 Å.
Kinematic intensities with the Lorentz-polarization factor, no thermal factor.

Cell lengths 5.2852, 5.2852, 8.3763 Å; angles 90.00, 90.00, 120.00 degrees
Space group P6/mmm (No. 191)
Unique sites:
As1 0.0000 0.0000 0.0000 x1
As2 0.3333 0.6667 0.3537 x4
Au1 0.0000 0.0000 0.5000 x1
Au2 0.0000 0.5000 0.0000 x3

Most intense lines, 15 to 90 degrees two-theta, in order of falling intensity:
h k l, 2θ/deg, I/Imax
2 0 2, 45.15, 100
0 0 2, 21.21, 86
1 1 1, 35.62, 60
2 0 4, 59.87, 53
2 0 1, 40.88, 51
2 0 0, 39.37, 45
1 0 3, 37.74, 42
1 0 1, 22.13, 37
0 0 3, 32.06, 30
2 2 0, 71.39, 22


Entry 2:
Starting from a GGA-PBE-relaxed structure, the X-ray diffraction stick pattern of AsAu15 was computed for Cu Kα, 1.54184 Å.
Kinematic intensities with the Lorentz-polarization factor, no thermal factor.

Cell lengths 5.002, 33.120, 5.004 Å; angles 90.00, 109.39, 90.00 degrees
Space group P2/c (No. 13)
Unique sites:
As1 0.000 0.165 0.250 x2
Au1 0.000 0.199 0.750 x2
Au2 0.000 0.248 0.250 x2
Au3 0.000 0.294 0.750 x2
Au4 0.000 0.340 0.250 x2
Au5 0.000 0.386 0.750 x2
Au6 0.000 0.431 0.250 x2
Au7 0.000 0.477 0.750 x2
Au8 0.500 0.159 0.750 x2
Au9 0.500 0.199 0.250 x2
Au10 0.500 0.250 0.750 x2
Au11 0.500 0.294 0.250 x2
Au12 0.500 0.340 0.750 x2
Au13 0.500 0.386 0.250 x2
Au14 0.500 0.431 0.750 x2
Au15 0.500 0.477 0.250 x2

Most intense lines, 15 to 90 degrees two-theta, in order of falling intensity:
h k l, 2θ/deg, I/Imax
1 11 -1, 37.10, 100
2 0 0, 38.14, 95
1 11 1, 43.39, 65
3 11 -1, 63.80, 42
2 0 -2, 44.39, 39
3 11 1, 76.77, 25
2 22 0, 74.81, 25
2 1 0, 38.24, 25
1 10 -1, 34.88, 22
1 10 1, 41.46, 14